The following is a theoretical powder XRD pattern of KNb2Fe2O7. It was derived from a PBE+U-relaxed structure, using a wavelength of 1.5418 Å.
No peak broadening, texture or thermal motion is included.

Crystal structure
```
data_KNb2Fe2O7
_symmetry_space_group_name_H-M 'I m m m'
_symmetry_Int_Tables_number 71
_symmetry_space_group_name_Hall '-I 2 2'
_cell_length_a 4.0094
_cell_length_b 4.1962
_cell_length_c 18.1092
_cell_angle_alpha 90.00
_cell_angle_beta 90.00
_cell_angle_gamma 90.00
loop_
_atom_site_label
_atom_site_fract_x
_atom_site_fract_y
_atom_site_fract_z
K1 0.0000 0.0000 0.0000
Nb1 0.0000 0.0000 0.3904
Fe1 0.0000 0.5000 0.2658
O1 0.0000 0.0000 0.2692
O2 0.0000 0.0000 0.5000
O3 0.0000 0.5000 0.1149
O4 0.0000 0.5000 0.3846
```

Most intense lines, 2θ = 5–70°, low angle first:
- 2θ 21.74, d 4.088, I 65, (0 1 1)
- 2θ 22.72, d 3.915, I 85, (1 0 1)
- 2θ 26.69, d 3.340, I 76, (1 0 3)
- 2θ 32.43, d 2.761, I 99, (1 1 2)
- 2θ 32.66, d 2.742, I 100, (0 1 5)
- 2θ 36.82, d 2.441, I 45, (1 1 4)
- 2θ 39.82, d 2.264, I 59, (0 0 8)
- 2θ 43.12, d 2.098, I 80, (0 2 0)
- 2θ 45.23, d 2.005, I 69, (2 0 0)
- 2θ 50.76, d 1.799, I 50, (1 0 9)